No. 1
Theoretical powder diffraction line list of Na8B13C3 for Cu Kα X-rays, from the PBE geometry in Alexandria.
Neutral-atom scattering factors, no anomalous dispersion.

Most intense lines, 2θ from 5° to 70°, low angle first:
- 2θ 5.15, rel. 1, (0 0 2)
- 2θ 20.69, rel. 1, (0 0 8)
- 2θ 35.19, rel. 20, (1 0 0)
- 2θ 41.17, rel. 100, (1 0 8)
- 2θ 42.09, rel. 23, (0 0 16)
- 2θ 42.64, rel. 1, (1 0 9)
- 2θ 44.86, rel. 1, (0 0 17)
- 2θ 55.99, rel. 10, (1 0 16)
- 2θ 63.14, rel. 18, (1 1 0)
- 2θ 67.21, rel. 2, (1 1 8)

Structural model:
```
data_Na8B13C3
_symmetry_space_group_name_H-M 'P -6 m 2'
_symmetry_Int_Tables_number 187
_symmetry_space_group_name_Hall 'P -6 2'
_cell_length_a 2.9451
_cell_length_b 2.9451
_cell_length_c 34.3471
_cell_angle_alpha 90.00
_cell_angle_beta 90.00
_cell_angle_gamma 120.00
loop_
_atom_site_label
_atom_site_type_symbol
_atom_site_fract_x
_atom_site_fract_y
_atom_site_fract_z
_atom_site_occupancy
Na1 Na 0.0000 0.0000 0.0611 1
Na2 Na 0.0000 0.0000 0.1836 1
Na3 Na 0.0000 0.0000 0.3100 1
Na4 Na 0.0000 0.0000 0.4368 1
B1 B 0.3333 0.6667 0.1222 1
B2 B 0.3333 0.6667 0.2468 1
B3 B 0.3333 0.6667 0.3735 1
B4 B 0.3333 0.6667 0.5000 1
B5 B 0.6667 0.3333 0.0000 1
B6 B 0.6667 0.3333 0.2468 1
B7 B 0.6667 0.3333 0.3735 1
B8 B 0.6667 0.3333 0.5000 1
C1 C 0.3333 0.6667 0.0000 1
C2 C 0.6667 0.3333 0.1221 1
```

=====

No. 2
Theoretical powder diffraction line list of Na8B11C5 for Cu Kα X-rays, from the PBE geometry in Alexandria.
Neutral-atom scattering factors, no anomalous dispersion.

Most intense lines, 2θ from 5° to 70°, low angle first:
- 2θ 5.17, rel. 5, (2 0 0)
- 2θ 35.58, rel. 10, (2 0 -2)
- 2θ 36.03, rel. 18, (1 1 -1)
- 2θ 41.55, rel. 50, (10 0 -2)
- 2θ 41.95, rel. 100, (7 1 1)
- 2θ 42.28, rel. 37, (16 0 0)
- 2θ 56.40, rel. 3, (14 0 2)
- 2θ 56.73, rel. 10, (17 1 -1)
- 2θ 64.19, rel. 18, (3 1 -3)
- 2θ 65.07, rel. 8, (0 2 0)

Structural model:
```
data_Na8B11C5
_symmetry_space_group_name_H-M 'C 1 m 1'
_symmetry_Int_Tables_number 8
_cell_length_a 34.5742
_cell_length_b 2.8667
_cell_length_c 5.0471
_cell_angle_alpha 90.00
_cell_angle_beta 98.38
_cell_angle_gamma 90.00
loop_
_symmetry_equiv_pos_as_xyz
'x,y,z'
'x,-y,z'
'x+1/2,y+1/2,z'
'x+1/2,-y+1/2,z'
loop_
_atom_site_label
_atom_site_type_symbol
_atom_site_fract_x
_atom_site_fract_y
_atom_site_fract_z
_atom_site_occupancy
Na1 Na 0.0000 0.0000 0.0000 1
Na2 Na 0.0000 0.5000 0.4928 1
Na3 Na 0.1272 0.0000 0.1203 1
Na4 Na 0.1278 0.5000 0.6265 1
Na5 Na 0.2535 0.5000 0.7490 1
Na6 Na 0.2540 0.0000 0.2508 1
Na7 Na 0.3767 0.0000 0.3728 1
Na8 Na 0.3768 0.5000 0.8729 1
B1 B 0.0607 0.0000 0.7227 1
B2 B 0.0607 0.5000 0.8936 1
B3 B 0.0668 0.0000 0.3993 1
B4 B 0.0668 0.5000 0.2283 1
B5 B 0.1909 0.0000 0.5085 1
B6 B 0.1908 0.0000 0.8433 1
B7 B 0.1909 0.5000 0.0470 1
B8 B 0.3153 0.0000 0.9798 1
B9 B 0.3153 0.5000 0.4799 1
B10 B 0.4381 0.0000 0.7656 1
B11 B 0.4381 0.5000 0.2659 1
C1 C 0.1911 0.5000 0.3531 1
C2 C 0.3153 0.0000 0.6459 1
C3 C 0.3153 0.5000 0.1459 1
C4 C 0.4381 0.0000 0.0997 1
C5 C 0.4380 0.5000 0.5995 1
```

=====

No. 3
Theoretical powder diffraction line list of Zr2Nb2Ge for Cu Kα X-rays, from the PBE geometry in Alexandria.
Neutral-atom scattering factors, no anomalous dispersion.

Most intense lines, 2θ from 5° to 70°, low angle first:
- 2θ 18.07, rel. 4, (1 1 0)
- 2θ 33.32, rel. 18, (2 0 1)
- 2θ 35.82, rel. 100, (2 1 1)
- 2θ 36.62, rel. 6, (2 2 0)
- 2θ 41.12, rel. 31, (3 1 0)
- 2θ 42.52, rel. 20, (0 0 2)
- 2θ 46.56, rel. 6, (3 1 1)
- 2θ 56.23, rel. 5, (3 3 0)
- 2θ 59.01, rel. 11, (4 1 1)
- 2θ 60.64, rel. 21, (3 1 2)

Structural model:
```
data_Zr2Nb2Ge
_symmetry_space_group_name_H-M 'P 4/m b m'
_symmetry_Int_Tables_number 127
_symmetry_space_group_name_Hall '-P 4 2ab'
_cell_length_a 6.9410
_cell_length_b 6.9410
_cell_length_c 4.2522
_cell_angle_alpha 90.00
_cell_angle_beta 90.00
_cell_angle_gamma 90.00
loop_
_atom_site_label
_atom_site_type_symbol
_atom_site_fract_x
_atom_site_fract_y
_atom_site_fract_z
_atom_site_occupancy
Zr1 Zr 0.1722 0.3278 0.0000 1
Nb1 Nb 0.1359 0.6359 0.5000 1
Ge1 Ge 0.0000 0.0000 0.5000 1
```

=====

No. 4
Theoretical powder diffraction line list of Hg2Te4Pt3 for Cu Kα X-rays, from the PBE geometry in Alexandria.
Neutral-atom scattering factors, no anomalous dispersion.

Most intense lines, 2θ from 5° to 70°, low angle first:
- 2θ 11.85, rel. 26, (0 0 2)
- 2θ 28.54, rel. 100, (1 2 3)
- 2θ 29.82, rel. 25, (1 1 4)
- 2θ 33.07, rel. 40, (0 4 2)
- 2θ 34.38, rel. 31, (2 0 2)
- 2θ 40.39, rel. 19, (2 0 4)
- 2θ 45.09, rel. 35, (2 4 0)
- 2θ 48.14, rel. 30, (0 4 6)
- 2θ 49.10, rel. 23, (2 0 6)
- 2θ 68.60, rel. 19, (2 4 8)

Structural model:
```
data_Hg2Te4Pt3
_symmetry_space_group_name_H-M 'I b a m'
_symmetry_Int_Tables_number 72
_symmetry_space_group_name_Hall '-I 2 2c'
_cell_length_a 5.5685
_cell_length_b 11.6264
_cell_length_c 14.9304
_cell_angle_alpha 90.00
_cell_angle_beta 90.00
_cell_angle_gamma 90.00
loop_
_atom_site_label
_atom_site_type_symbol
_atom_site_fract_x
_atom_site_fract_y
_atom_site_fract_z
_atom_site_occupancy
Hg1 Hg 0.1919 0.1355 0.0000 1
Te1 Te 0.1995 0.3924 0.1429 1
Pt1 Pt 0.0000 0.0000 0.2500 1
Pt2 Pt 0.0000 0.2404 0.2500 1
```

=====

No. 5
Theoretical powder diffraction line list of Nd2In4Hg for Cu Kα X-rays, from the PBE geometry in Alexandria.
Neutral-atom scattering factors, no anomalous dispersion.

Most intense lines, 2θ from 5° to 70°, low angle first:
- 2θ 27.42, rel. 77, (1 1 3)
- 2θ 33.54, rel. 100, (2 2 0)
- 2θ 33.73, rel. 30, (0 2 4)
- 2θ 33.97, rel. 48, (0 4 0)
- 2θ 36.65, rel. 39, (1 3 3)
- 2θ 41.37, rel. 17, (2 0 4)
- 2θ 44.94, rel. 16, (2 2 4)
- 2θ 50.21, rel. 15, (3 1 3)
- 2θ 54.57, rel. 15, (2 4 4)
- 2θ 60.52, rel. 18, (2 6 0)

Structural model:
```
data_Nd2In4Hg
_symmetry_space_group_name_H-M 'F m m m'
_symmetry_Int_Tables_number 69
_symmetry_space_group_name_Hall '-F 2 2'
_cell_length_a 6.1960
_cell_length_b 10.5555
_cell_length_c 12.3007
_cell_angle_alpha 90.00
_cell_angle_beta 90.00
_cell_angle_gamma 90.00
loop_
_atom_site_label
_atom_site_type_symbol
_atom_site_fract_x
_atom_site_fract_y
_atom_site_fract_z
_atom_site_occupancy
Nd1 Nd 0.0000 0.0000 0.1414 1
In1 In 0.2500 0.2500 0.0000 1
In2 In 0.2500 0.2500 0.2500 1
Hg1 Hg 0.0000 0.0000 0.5000 1
```

=====

No. 6
Theoretical powder diffraction line list of Tm5InPt for Cu Kα X-rays, from the PBE geometry in Alexandria.
Neutral-atom scattering factors, no anomalous dispersion.

Most intense lines, 2θ from 5° to 70°, low angle first:
- 2θ 27.54, rel. 21, (2 0 2)
- 2θ 27.74, rel. 21, (3 1 -1)
- 2θ 31.13, rel. 68, (2 2 -1)
- 2θ 31.49, rel. 69, (2 2 0)
- 2θ 31.89, rel. 42, (1 1 3)
- 2θ 32.41, rel. 100, (2 0 -4)
- 2θ 33.22, rel. 27, (4 0 -2)
- 2θ 37.60, rel. 21, (3 1 2)
- 2θ 43.07, rel. 24, (0 2 4)
- 2θ 51.83, rel. 22, (1 3 -4)

Structural model:
```
data_Tm5InPt
_symmetry_space_group_name_H-M 'C 1 2/c 1'
_symmetry_Int_Tables_number 15
_cell_length_a 10.9528
_cell_length_b 6.7902
_cell_length_c 11.2834
_cell_angle_alpha 90.00
_cell_angle_beta 108.62
_cell_angle_gamma 90.00
loop_
_symmetry_equiv_pos_as_xyz
'x,y,z'
'-x,-y,-z'
'-x,y,-z+1/2'
'x,-y,z+1/2'
'x+1/2,y+1/2,z'
'-x+1/2,-y+1/2,-z'
'-x+1/2,y+1/2,-z+1/2'
'x+1/2,-y+1/2,z+1/2'
loop_
_atom_site_label
_atom_site_type_symbol
_atom_site_fract_x
_atom_site_fract_y
_atom_site_fract_z
_atom_site_occupancy
Tm1 Tm 0.0000 0.0174 0.2500 1
Tm2 Tm 0.1274 0.3422 0.0465 1
Tm3 Tm 0.2252 0.1773 0.6410 1
In1 In 0.0000 0.4663 0.7500 1
Pt1 Pt 0.0000 0.0000 0.0000 1
```

=====

No. 7
Theoretical powder diffraction line list of SrMgCd2Ge for Cu Kα X-rays, from the PBE geometry in Alexandria.
Neutral-atom scattering factors, no anomalous dispersion.

Most intense lines, 2θ from 5° to 70°, low angle first:
- 2θ 20.99, rel. 47, (0 1 1)
- 2θ 28.07, rel. 18, (1 1 0)
- 2θ 29.23, rel. 68, (1 0 3)
- 2θ 31.57, rel. 100, (1 1 2)
- 2θ 40.11, rel. 62, (2 0 0)
- 2θ 40.48, rel. 36, (1 1 4)
- 2θ 41.33, rel. 52, (0 1 5)
- 2θ 50.38, rel. 29, (1 2 3)
- 2θ 58.02, rel. 20, (2 2 0)
- 2θ 58.96, rel. 35, (2 1 5)

Structural model:
```
data_SrMgCd2Ge
_symmetry_space_group_name_H-M 'I m m 2'
_symmetry_Int_Tables_number 44
_cell_length_a 4.4913
_cell_length_b 4.5013
_cell_length_c 12.4949
_cell_angle_alpha 90.00
_cell_angle_beta 90.00
_cell_angle_gamma 90.00
loop_
_symmetry_equiv_pos_as_xyz
'x,y,z'
'-x,-y,z'
'-x,y,z'
'x,-y,z'
'x+1/2,y+1/2,z+1/2'
'-x+1/2,-y+1/2,z+1/2'
'-x+1/2,y+1/2,z+1/2'
'x+1/2,-y+1/2,z+1/2'
loop_
_atom_site_label
_atom_site_type_symbol
_atom_site_fract_x
_atom_site_fract_y
_atom_site_fract_z
_atom_site_occupancy
Sr1 Sr 0.0000 0.0000 0.0000 1
Mg1 Mg 0.0000 0.5000 0.7711 1
Cd1 Cd 0.0000 0.0000 0.6191 1
Cd2 Cd 0.0000 0.5000 0.2673 1
Ge1 Ge 0.0000 0.0000 0.4028 1
```

=====

No. 8
Theoretical powder diffraction line list of La2Zn3Cd for Cu Kα X-rays, from the PBE geometry in Alexandria.
Neutral-atom scattering factors, no anomalous dispersion.

Most intense lines, 2θ from 5° to 70°, low angle first:
- 2θ 21.38, rel. 9, (0 2 2)
- 2θ 32.87, rel. 100, (2 2 2)
- 2θ 37.45, rel. 44, (0 2 6)
- 2θ 37.55, rel. 22, (0 4 0)
- 2θ 50.60, rel. 19, (4 0 0)
- 2θ 50.73, rel. 19, (2 4 4)
- 2θ 64.65, rel. 44, (4 4 0)
- 2θ 64.82, rel. 9, (2 6 2)
- 2θ 67.49, rel. 4, (0 0 12)
- 2θ 67.69, rel. 7, (0 6 6)

Structural model:
```
data_La2Zn3Cd
_symmetry_space_group_name_H-M 'F m m m'
_symmetry_Int_Tables_number 69
_symmetry_space_group_name_Hall '-F 2 2'
_cell_length_a 7.2172
_cell_length_b 9.5812
_cell_length_c 16.6545
_cell_angle_alpha 90.00
_cell_angle_beta 90.00
_cell_angle_gamma 90.00
loop_
_atom_site_label
_atom_site_type_symbol
_atom_site_fract_x
_atom_site_fract_y
_atom_site_fract_z
_atom_site_occupancy
La1 La 0.2493 0.0000 0.0000 1
La2 La 0.2500 0.2500 0.2500 1
Zn1 Zn 0.0000 0.0000 0.1629 1
Zn2 Zn 0.0000 0.2443 0.0814 1
Cd1 Cd 0.0000 0.0000 0.3335 1
```

=====

Number 6 is which compound? Tm5InPt